Diffraction record for NiSe2O5. The X-ray diffraction stick pattern is computed, not measured: it uses a structure optimized by DFT (PBE+U) and CuKα.
No peak broadening, texture or thermal motion is included.

Principal peaks in the range 10° ≤ 2θ ≤ 80°, sorted by position:
| h k l | two_theta | intensity |
| --- | --- | --- |
| 1 1 1 | 21.27 | 35 |
| 1 2 1 | 25.93 | 100 |
| 1 3 0 | 28.65 | 36 |
| 2 1 1 | 31.02 | 81 |
| 1 0 2 | 32.29 | 33 |
| 1 1 2 | 33.41 | 26 |
| 0 4 0 | 34.21 | 20 |
| 1 2 3 | 50.18 | 15 |
| 2 5 1 | 53.33 | 34 |
| 3 3 2 | 56.73 | 17 |
| 0 0 4 | 61.24 | 14 |
| 4 0 2 | 61.87 | 16 |

Crystal structure
a = 6.9029 Å, b = 10.4757 Å, c = 6.0598 Å
α = 90.00°, β = 90.00°, γ = 90.00°
Sites, in units of the cell vectors:
Ni (0.0000, 0.0640, 0.2500)
Ni (0.0000, 0.9360, 0.7500)
Ni (0.5000, 0.4360, 0.7500)
Ni (0.5000, 0.5640, 0.2500)
Se (0.1358, 0.3456, 0.0294)
Se (0.1358, 0.6544, 0.5294)
Se (0.3642, 0.1544, 0.5294)
Se (0.3642, 0.8456, 0.0294)
Se (0.6358, 0.1544, 0.9706)
Se (0.6358, 0.8456, 0.4706)
Se (0.8642, 0.3456, 0.4706)
Se (0.8642, 0.6544, 0.9706)
O (0.0000, 0.4330, 0.2500)
O (0.0000, 0.5670, 0.7500)
O (0.1527, 0.0681, 0.5488)
O (0.1527, 0.9319, 0.0488)
O (0.1959, 0.2070, 0.1591)
O (0.1959, 0.7930, 0.6591)
O (0.3041, 0.2930, 0.6591)
O (0.3041, 0.7070, 0.1591)
O (0.3473, 0.4319, 0.0488)
O (0.3473, 0.5681, 0.5488)
O (0.5000, 0.0670, 0.7500)
O (0.5000, 0.9330, 0.2500)
O (0.6527, 0.4319, 0.4512)
O (0.6527, 0.5681, 0.9512)
O (0.6959, 0.2930, 0.8409)
O (0.6959, 0.7070, 0.3409)
O (0.8041, 0.2070, 0.3409)
O (0.8041, 0.7930, 0.8409)
O (0.8473, 0.0681, 0.9512)
O (0.8473, 0.9319, 0.4512)